Diffraction record for TlVF3. The powder diffractogram is calculated, not measured: it uses the GGA+U geometry in Alexandria and copper Kα.
No peak broadening, texture or thermal motion is included.

Largest 10 diffraction maxima, by angle, 2θ = 5–70°:
14.04 deg, rel. 41
22.82 deg, rel. 100
23.03 deg, rel. 100
26.62 deg, rel. 74
26.93 deg, rel. 35
27.52 deg, rel. 86
30.90 deg, rel. 41
37.76 deg, rel. 36
46.59 deg, rel. 35
47.98 deg, rel. 39

Atomic structure:
```
TlVF3
1.0
6.3163 -5.1867 0.0000
6.3163 5.1867 0.0000
-0.3181 0.0000 5.7878
Tl V F
4 4 12
Cartesian
2.4545 1.0725 1.6014 Tl
2.2955 -1.0725 4.4954 Tl
10.0190 1.0725 1.2925 Tl
9.8600 -1.0725 4.1864 Tl
6.2368 2.5204 1.4470 V
6.0777 0.8244 4.3409 V
6.2368 -0.8244 1.4470 V
6.0777 -2.5204 4.3409 V
4.8855 3.9017 0.6761 F
5.0721 2.2798 3.2263 F
7.5880 3.9017 2.2179 F
5.2741 0.8028 0.4090 F
7.0834 2.2798 5.4555 F
5.1151 -0.8028 3.3029 F
7.1995 0.8028 2.4849 F
5.2311 -2.2798 0.3324 F
7.0404 -0.8028 5.3788 F
4.7265 -3.9017 3.5700 F
7.2424 -2.2798 2.5615 F
7.4290 -3.9017 5.1118 F
```